No. 1
For Na3YCl6, a GGA-PBE-relaxed structure gives the simulated powder XRD pattern in this record (a wavelength of 1.5418 Å).

Crystal structure
```
data_Na3YCl6
_symmetry_space_group_name_H-M 'P 1'
_symmetry_Int_Tables_number 1
_cell_length_a 6.937
_cell_length_b 7.323
_cell_length_c 12.358
_cell_angle_alpha 90.00
_cell_angle_beta 123.47
_cell_angle_gamma 90.00
loop_
_symmetry_equiv_pos_as_xyz
'x,y,z'
loop_
_atom_site_label
_atom_site_fract_x
_atom_site_fract_y
_atom_site_fract_z
_atom_site_occupancy
Na1 0.000 0.000 0.000 1
Na2 0.000 0.500 0.500 1
Na3 0.218 0.074 0.741 1
Na4 0.218 0.426 0.241 1
Na5 0.782 0.574 0.759 1
Na6 0.782 0.926 0.259 1
Y1 0.500 0.000 0.500 1
Y2 0.500 0.500 0.000 1
Cl1 0.121 0.179 0.435 1
Cl2 0.121 0.321 0.935 1
Cl3 0.252 0.695 0.421 1
Cl4 0.252 0.805 0.921 1
Cl5 0.400 0.066 0.262 1
Cl6 0.400 0.434 0.762 1
Cl7 0.600 0.566 0.238 1
Cl8 0.600 0.934 0.738 1
Cl9 0.748 0.195 0.079 1
Cl10 0.748 0.305 0.579 1
Cl11 0.879 0.679 0.065 1
Cl12 0.879 0.821 0.565 1
```

Peak list (10 most intense, 2θ from 10° to 80°, by angle)
2θ (°)  I_rel
14.84  100
17.61  85
28.48  52
28.86  74
29.14  78
29.70  68
35.66  64
39.12  63
42.93  65
44.51  55


No. 2
For U3TiSb5, a GGA-PBE-relaxed structure gives the simulated powder XRD pattern in this record (a wavelength of 1.5418 Å).

Crystal structure
```
data_U3TiSb5
_symmetry_space_group_name_H-M 'P 1'
_symmetry_Int_Tables_number 1
_cell_length_a 9.138
_cell_length_b 9.138
_cell_length_c 6.125
_cell_angle_alpha 90.00
_cell_angle_beta 90.00
_cell_angle_gamma 120.00
loop_
_symmetry_equiv_pos_as_xyz
'x,y,z'
loop_
_atom_site_label
_atom_site_fract_x
_atom_site_fract_y
_atom_site_fract_z
_atom_site_occupancy
U1 0.000 0.389 0.250 1
U2 0.000 0.611 0.750 1
U3 0.389 0.000 0.250 1
U4 0.389 0.389 0.750 1
U5 0.611 0.000 0.750 1
U6 0.611 0.611 0.250 1
Ti1 0.000 0.000 0.000 1
Ti2 0.000 0.000 0.500 1
Sb1 0.000 0.262 0.750 1
Sb2 0.000 0.738 0.250 1
Sb3 0.262 0.000 0.750 1
Sb4 0.262 0.262 0.250 1
Sb5 0.333 0.667 0.000 1
Sb6 0.333 0.667 0.500 1
Sb7 0.667 0.333 0.000 1
Sb8 0.667 0.333 0.500 1
Sb9 0.738 0.000 0.250 1
Sb10 0.738 0.738 0.750 1
```

Peak list (10 most intense, 2θ from 10° to 80°, by angle)
2θ (°)  I_rel
24.30  28
29.16  27
33.34  100
33.99  82
35.28  95
43.82  40
49.80  20
54.41  25
62.08  23
64.10  22


No. 3
For KTiI3, a GGA-PBE-relaxed structure gives the simulated powder XRD pattern in this record (a wavelength of 1.5418 Å).

Crystal structure
```
data_KTiI3
_symmetry_space_group_name_H-M 'P 1'
_symmetry_Int_Tables_number 1
_cell_length_a 14.058
_cell_length_b 14.058
_cell_length_c 6.965
_cell_angle_alpha 90.00
_cell_angle_beta 90.00
_cell_angle_gamma 120.00
loop_
_symmetry_equiv_pos_as_xyz
'x,y,z'
loop_
_atom_site_label
_atom_site_fract_x
_atom_site_fract_y
_atom_site_fract_z
_atom_site_occupancy
K1 0.005 0.321 0.000 1
K2 0.316 0.995 0.000 1
K3 0.321 0.316 0.500 1
K4 0.679 0.684 0.000 1
K5 0.684 0.005 0.500 1
K6 0.995 0.679 0.500 1
Ti1 0.000 0.000 0.196 1
Ti2 0.000 0.000 0.696 1
Ti3 0.333 0.667 0.346 1
Ti4 0.333 0.667 0.873 1
Ti5 0.667 0.333 0.373 1
Ti6 0.667 0.333 0.846 1
I1 0.018 0.845 0.946 1
I2 0.147 0.615 0.113 1
I3 0.155 0.173 0.946 1
I4 0.173 0.018 0.446 1
I5 0.204 0.487 0.613 1
I6 0.284 0.796 0.613 1
I7 0.385 0.532 0.113 1
I8 0.468 0.853 0.113 1
I9 0.487 0.284 0.113 1
I10 0.513 0.716 0.613 1
I11 0.532 0.147 0.613 1
I12 0.615 0.468 0.613 1
I13 0.716 0.204 0.113 1
I14 0.796 0.513 0.113 1
I15 0.827 0.982 0.946 1
I16 0.845 0.827 0.446 1
I17 0.853 0.385 0.613 1
I18 0.982 0.155 0.446 1
```

Peak list (10 most intense, 2θ from 10° to 80°, by angle)
2θ (°)  I_rel
12.59  53
23.17  23
25.39  70
26.62  27
28.45  100
29.39  22
32.24  20
37.08  16
46.59  27
53.87  19


No. 4
For Mg6SbW, a GGA-PBE-relaxed structure gives the simulated powder XRD pattern in this record (a wavelength of 1.5418 Å).

Crystal structure
```
data_Mg6SbW
_symmetry_space_group_name_H-M 'P 1'
_symmetry_Int_Tables_number 1
_cell_length_a 5.015
_cell_length_b 6.108
_cell_length_c 6.108
_cell_angle_alpha 60.91
_cell_angle_beta 90.00
_cell_angle_gamma 90.00
loop_
_symmetry_equiv_pos_as_xyz
'x,y,z'
loop_
_atom_site_label
_atom_site_fract_x
_atom_site_fract_y
_atom_site_fract_z
_atom_site_occupancy
Mg1 0.000 0.000 0.000 1
Mg2 0.000 0.509 0.987 1
Mg3 0.000 0.987 0.509 1
Mg4 0.500 0.159 0.670 1
Mg5 0.500 0.168 0.168 1
Mg6 0.500 0.670 0.159 1
Sb1 0.000 0.511 0.511 1
W1 0.500 0.665 0.665 1
```

Peak list (10 most intense, 2θ from 10° to 80°, by angle)
2θ (°)  I_rel
16.61  100
16.84  22
24.35  25
24.51  34
33.58  23
34.39  41
35.81  31
38.20  74
38.63  42
39.72  23


No. 5
For CeAlO2, a GGA-PBE-relaxed structure gives the simulated powder XRD pattern in this record (a wavelength of 1.5418 Å).

Crystal structure
```
data_CeAlO2
_symmetry_space_group_name_H-M 'P 1'
_symmetry_Int_Tables_number 1
_cell_length_a 3.809
_cell_length_b 3.809
_cell_length_c 3.582
_cell_angle_alpha 90.00
_cell_angle_beta 90.00
_cell_angle_gamma 90.00
loop_
_symmetry_equiv_pos_as_xyz
'x,y,z'
loop_
_atom_site_label
_atom_site_fract_x
_atom_site_fract_y
_atom_site_fract_z
_atom_site_occupancy
Ce1 0.000 0.000 0.000 1
Al1 0.500 0.500 0.500 1
O1 0.000 0.500 0.500 1
O2 0.500 0.000 0.500 1
```

Peak list (10 most intense, 2θ from 10° to 80°, by angle)
2θ (°)  I_rel
23.36  60
24.86  12
33.27  35
34.37  100
41.97  43
47.76  27
53.82  13
60.16  39
62.25  13
72.44  15